Record 1
This entry pairs a crystal structure of Cu3Ag7 with its theoretical powder X-ray diffraction pattern. Radiation: Cu Kα. Structure: a structure optimized by DFT (GGA-PBE).
Intensities are scaled so that the largest is 100.

Atomic structure:
```
Cu3Ag7
1.0
2.900 0.000 0.000
0.000 2.900 0.000
0.000 0.000 19.268
Cu Ag
3 7
Cartesian
0.000 0.000 0.000
0.000 0.000 7.191
1.450 1.450 5.748
0.000 0.000 3.934
0.000 0.000 11.119
0.000 0.000 15.349
1.450 1.450 1.803
1.450 1.450 9.003
1.450 1.450 13.241
1.450 1.450 17.465
```

Most intense lines, 2θ = 10–80°, by angle:
- d 2.485, I = 10
- d 2.317, I = 100
- d 2.051, I = 41
- d 1.927, I = 8
- d 1.450, I = 12
- d 1.404, I = 11
- d 1.243, I = 7
- d 1.229, I = 24



Record 2
This entry pairs a crystal structure of Cu4Ag5 with its theoretical powder X-ray diffraction pattern. Radiation: Cu Kα. Structure: a structure optimized by DFT (GGA-PBE).
Intensities are scaled so that the largest is 100.

Atomic structure:
```
Cu4Ag5
1.0
-1.410 1.878 12.917
1.410 -1.878 12.917
1.410 1.878 -12.917
Cu Ag
4 5
Cartesian
0.000 0.000 0.000
0.000 0.000 2.451
0.000 0.000 8.486
0.000 0.000 14.143
0.000 0.000 5.471
0.000 0.000 11.507
0.000 0.000 16.777
0.000 0.000 19.998
0.000 0.000 22.810
```

Most intense lines, 2θ = 10–80°, by angle:
- d 2.281, I = 92
- d 2.255, I = 100
- d 2.012, I = 62
- d 1.878, I = 28
- d 1.410, I = 10
- d 1.373, I = 33
- d 1.211, I = 15
- d 1.199, I = 21